Entry 1:
SrSm4Se5: theoretical powder XRD pattern (Cu Kα, 1.54184 Å), based on a GGA-PBE-relaxed structure.

Atomic structure:
a b c (Å): 14.0619 4.1969 10.3486
angles (deg): 90.00 119.57 90.00
Space group C2/m (No. 12)
Asymmetric unit:
Sr1 0.0000 0.0000 0.0000 (multiplicity 2)
Sm1 0.0959 0.5000 0.4037 (multiplicity 4)
Sm2 0.1963 0.0000 0.7866 (multiplicity 4)
Se1 0.0000 0.0000 0.5000 (multiplicity 2)
Se2 0.1076 0.5000 0.9003 (multiplicity 4)
Se3 0.1994 0.0000 0.3064 (multiplicity 4)

Most intense lines, 2θ from 10° to 80°, low angle first:
h k l	2θ/deg	I_rel
3 1 -2	29.95	100
5 1 0	42.76	37
1 1 -4	42.91	24
0 2 0	43.11	12
2 2 2	53.35	13
6 2 -4	62.29	8
7 1 2	70.38	11
5 3 0	78.85	8

Entry 2:
TlSn: theoretical powder XRD pattern (Cu Kα, 1.54184 Å), based on a GGA-PBE-relaxed structure.

Atomic structure:
a b c (Å): 6.2894 6.2894 6.1658
angles (deg): 90.00 90.00 90.00
Space group P4_2/mnm (No. 136)
Asymmetric unit:
Tl1 0.1903 0.1903 0.0000 (multiplicity 4)
Sn1 0.1841 0.1841 0.5000 (multiplicity 4)

Most intense lines, 2θ from 10° to 80°, low angle first:
h k l	2θ/deg	I_rel
2 0 0	28.38	80
0 0 2	28.96	75
2 1 0	31.82	100
2 0 2	41.00	61
2 1 2	43.56	86
4 1 0	60.71	33
4 1 2	68.65	46
2 1 4	69.54	22